# 1
The following is a computed powder diffractogram of TbHoAu2Se4. It was derived from a crystal structure in OQMD, relaxed with GGA-PBE, using Cu Kα, 1.54184 Å.

Peak list (12 most intense, 2θ = 5–70°, in order of rising 2θ)
19.9°, d = 4.456 Å, I = 47; 24.1°, d = 3.689 Å, I = 25; 27.1°, d = 3.289 Å, I = 49; 27.7°, d = 3.218 Å, I = 67; 33.9°, d = 2.646 Å, I = 100; 36.6°, d = 2.455 Å, I = 59; 38.7°, d = 2.326 Å, I = 81; 43.9°, d = 2.062 Å, I = 31; 45.1°, d = 2.009 Å, I = 50; 46.1°, d = 1.968 Å, I = 32; 60.9°, d = 1.521 Å, I = 30; 67.0°, d = 1.397 Å, I = 26

Cell and atoms:
Lattice parameters (Å, degrees): 6.5789 6.5789 4.4556 90.00 90.00 90.05
Fractional coordinates of all 8 atoms:
Tb: 0.0000 0.0000 0.0000
Ho: 0.5000 0.5000 0.6413
Au: 0.0000 0.5000 0.8214
Au: 0.5000 0.0000 0.8214
Se: 0.2028 0.2028 0.5226
Se: 0.3000 0.7000 0.1166
Se: 0.7000 0.3000 0.1166
Se: 0.7972 0.7972 0.5226

# 2
The following is a computed powder diffractogram of Ho2SnAu2. It was derived from a crystal structure in OQMD, relaxed with GGA-PBE, using Cu Kα, 1.54184 Å.

Peak list (12 most intense, 2θ = 5–70°, in order of rising 2θ)
15.9°, d = 5.572 Å, I = 13; 33.0°, d = 2.718 Å, I = 17; 34.9°, d = 2.569 Å, I = 100; 36.0°, d = 2.492 Å, I = 40; 41.3°, d = 2.185 Å, I = 9; 46.1°, d = 1.970 Å, I = 7; 48.2°, d = 1.889 Å, I = 9; 48.5°, d = 1.877 Å, I = 12; 53.8°, d = 1.703 Å, I = 8; 61.9°, d = 1.499 Å, I = 16; 65.3°, d = 1.429 Å, I = 9; 68.9°, d = 1.363 Å, I = 14

Cell and atoms:
Lattice parameters (Å, degrees): 7.8798 7.8798 7.5078 90.00 90.00 90.00
Fractional coordinates of all 20 atoms:
Ho: 0.1614 0.1614 0.0000
Ho: 0.1779 0.1779 0.5000
Ho: 0.3221 0.6779 0.0000
Ho: 0.3386 0.6614 0.5000
Ho: 0.6614 0.3386 0.5000
Ho: 0.6779 0.3221 0.0000
Ho: 0.8221 0.8221 0.5000
Ho: 0.8386 0.8386 0.0000
Sn: 0.0000 0.5000 0.2500
Sn: 0.0000 0.5000 0.7500
Sn: 0.5000 0.0000 0.2500
Sn: 0.5000 0.0000 0.7500
Au: 0.1282 0.8718 0.2670
Au: 0.1282 0.8718 0.7330
Au: 0.3718 0.3718 0.2330
Au: 0.3718 0.3718 0.7670
Au: 0.6282 0.6282 0.2330
Au: 0.6282 0.6282 0.7670
Au: 0.8718 0.1282 0.2670
Au: 0.8718 0.1282 0.7330